The following is a computed XRD peak list of Sn3Sb. It was derived from a cell relaxed with PBE, using Cu Kα (λ = 1.5418 Å).

Structural model:
```
Sn3Sb
1.0
1.619 -4.190 0.000
1.619 4.190 0.000
0.000 0.000 8.436
Sn Sb
3 1
Direct
0.000 0.000 0.000
0.000 0.500 0.250
0.500 0.000 0.750
0.500 0.500 0.500
```

Principal peaks in the range 2θ = 10–80°, by angle:
d/Å	2theta	intensity
2.972	30.06	100.0
2.844	31.46	89.0
2.109	42.88	19.3
2.095	43.19	18.9
2.058	44.00	35.8
2.052	44.14	35.5
1.690	54.27	19.5
1.511	61.35	27.1
1.228	77.78	14.1
1.226	77.94	14.1

---

The following is a computed XRD peak list of Dy3Pt4. It was derived from a cell relaxed with PBE, using Cu Kα (λ = 1.5418 Å).

Structural model:
```
Dy3Pt4
1.0
6.615 3.819 1.911
-6.615 3.819 1.911
0.000 -7.638 1.911
Dy Pt
6 8
Direct
0.027 0.405 0.279
0.279 0.027 0.405
0.405 0.279 0.027
0.595 0.721 0.973
0.721 0.973 0.595
0.973 0.595 0.721
0.000 0.000 0.000
0.062 0.227 0.551
0.227 0.551 0.062
0.449 0.938 0.773
0.500 0.500 0.500
0.551 0.062 0.227
0.773 0.449 0.938
0.938 0.773 0.449
```

Principal peaks in the range 2θ = 10–80°, by angle:
d/Å	2theta	intensity
2.780	32.20	30.1
2.563	35.01	18.8
2.500	35.92	100.0
2.390	37.63	94.2
2.129	42.47	20.1
1.937	46.90	14.4
1.728	53.00	16.7
1.422	65.68	29.5
1.306	72.35	17.6
1.281	73.98	11.2

---

The following is a computed XRD peak list of BaSbH2S4. It was derived from a cell relaxed with PBE, using Cu Kα (λ = 1.5418 Å).

Structural model:
```
BaSbH2S4
1.0
-2.877 3.805 4.109
2.877 -3.805 4.109
2.877 3.805 -4.109
Ba Sb H S
1 1 2 4
Direct
0.000 0.000 0.000
0.500 0.500 0.000
0.331 0.831 0.500
0.669 0.169 0.500
0.163 0.022 0.559
0.463 0.604 0.441
0.537 0.978 0.141
0.837 0.396 0.859
```

Principal peaks in the range 2θ = 10–80°, by angle:
d/Å	2theta	intensity
4.589	19.34	90.7
3.805	23.38	25.4
3.061	29.17	100.0
2.792	32.06	39.1
2.357	38.19	33.8
2.321	38.80	23.4
2.295	39.26	24.0
2.021	44.85	21.3
2.003	45.26	20.4
1.875	48.55	22.8